This entry pairs a crystal structure of Cs2MnTl2F6 with its simulated powder diffractogram. Radiation: Cu Kα X-rays. Structure: the GGA+U geometry in Alexandria.

Largest 8 diffraction maxima, most intense first, 10 to 90 degrees two-theta:
| 2theta | d_spacing | Rel. int. |
| --- | --- | --- |
| 30.54 | 2.927 | 100 |
| 27.50 | 3.244 | 80 |
| 25.29 | 3.521 | 59 |
| 18.07 | 4.909 | 51 |
| 14.51 | 6.104 | 47 |
| 33.43 | 2.680 | 44 |
| 28.49 | 3.133 | 39 |
| 43.86 | 2.064 | 39 |

Cell and atoms:
```
Cs2MnTl2F6
1.0
3.6260 -6.1118 0.0000
3.6260 6.1118 0.0000
-1.5424 0.0000 6.2660
Cs Mn Tl F
2 1 2 6
Direct
0.1584 0.8416 0.0000
0.8416 0.1584 0.0000
0.5000 0.5000 0.0000
0.3472 0.6528 0.5000
0.6528 0.3472 0.5000
0.2036 0.4580 0.8201
0.3303 0.3303 0.2508
0.4580 0.2036 0.8201
0.5420 0.7964 0.1799
0.6697 0.6697 0.7492
0.7964 0.5420 0.1799
```